Theoretical PXRD pattern of SrTb2O4 for Cu Kα, from a structure optimized by DFT (PBE).
Intensities are scaled so that the largest is 100.

Cell and atoms:
Unit cell a=9.8124 b=9.8124 c=9.8124 alpha=90.00 beta=90.00 gamma=90.00
Space group Fd-3m (No. 227, origin choice 2)
One atom of each set of equivalent atoms:
Sr  0.1250  0.1250  0.1250 x8
Tb  0.0000  0.0000  0.5000 x16
O  0.0162  0.0162  0.7338 x32

The 8 most intense peaks (10° ≤ 2θ ≤ 90°), by angle:
d/Å	2theta	I/Imax
5.665	15.64	39
2.959	30.21	100
2.833	31.59	40
2.453	36.63	26
1.888	48.19	41
1.735	52.77	46
1.479	62.82	20
1.277	74.24	22